Structure and calculated powder diffraction line list of K2VOF4 (a DFT-relaxed cell (GGA+U, the Materials Project); Cu Ka).

Most intense lines, 2θ from 5° to 70°, most intense first:
hkl 0 3 1, 2θ = 27.65°, d = 3.226 Å, I = 100
hkl 2 2 2, 2θ = 42.39°, d = 2.132 Å, I = 69
hkl 2 2 0, 2θ = 28.13°, d = 3.172 Å, I = 61
hkl 0 0 2, 2θ = 31.05°, d = 2.880 Å, I = 52
hkl 2 4 0, 2θ = 38.98°, d = 2.311 Å, I = 45
hkl 2 0 1, 2θ = 28.25°, d = 3.159 Å, I = 44
hkl 1 1 1, 2θ = 20.83°, d = 4.265 Å, I = 42
hkl 2 3 2, 2θ = 45.97°, d = 1.974 Å, I = 37
hkl 2 1 2, 2θ = 40.12°, d = 2.248 Å, I = 31
hkl 1 5 0, 2θ = 40.41°, d = 2.232 Å, I = 31

```
32
Lattice="7.5545 0.0000 0.0000 0.0000 11.6826 0.0000 0.0000 0.0000 5.7608" Properties=species:S:1:pos:R:3 pbc="T T T"
K 0.0887 2.6281 5.7598
K 1.2720 4.8071 2.8804
K 2.5053 10.6484 0.0000
K 3.6886 8.4695 2.8794
K 3.8659 3.2132 5.7598
K 5.0492 1.0342 2.8804
K 6.2826 6.8755 0.0000
K 7.4658 9.0545 2.8794
V 1.3778 0.7645 2.7606
V 2.3995 6.6058 5.6410
V 5.1551 5.0768 2.7606
V 6.1767 10.9181 5.6410
O 1.4131 7.1641 4.4323
O 2.3642 1.3227 1.5519
O 5.1904 10.3599 4.4323
O 6.1414 4.5186 1.5519
F 0.0438 0.0012 4.4578
F 0.2153 2.2879 2.9819
F 1.3588 7.1409 1.4178
F 1.6997 4.7738 0.0728
F 2.0776 10.6151 2.9532
F 2.4184 1.2996 4.2982
F 3.5620 8.1292 0.1015
F 3.7335 5.8425 1.5774
F 3.8210 5.8402 4.4578
F 3.9926 3.5535 2.9819
F 5.1361 10.3831 1.4178
F 5.4770 1.0675 0.0728
F 5.8548 6.9088 2.9532
F 6.1957 4.5418 4.2982
F 7.3392 9.3948 0.1015
F 7.5108 11.6815 1.5774
```



Structure and calculated powder diffraction line list of NiPH15O11 (a DFT-relaxed cell (GGA+U, the Materials Project); Cu Ka).

Most intense lines, 2θ from 5° to 70°, most intense first:
hkl 1 1 1, 2θ = 20.67°, d = 4.297 Å, I = 100
hkl 0 0 2, 2θ = 15.67°, d = 5.657 Å, I = 63
hkl 1 0 1, 2θ = 14.69°, d = 6.029 Å, I = 46
hkl 1 0 3, 2θ = 26.75°, d = 3.333 Å, I = 42
hkl 0 1 1, 2θ = 16.46°, d = 5.387 Å, I = 31
hkl 0 1 2, 2θ = 21.38°, d = 4.156 Å, I = 31
hkl 2 1 1, 2θ = 30.08°, d = 2.971 Å, I = 27
hkl 0 2 2, 2θ = 33.27°, d = 2.693 Å, I = 26
hkl 2 0 2, 2θ = 29.64°, d = 3.014 Å, I = 24
hkl 2 1 2, 2θ = 33.12°, d = 2.705 Å, I = 20

```
56
Lattice="7.1244 0.0000 0.0000 0.0000 6.1254 0.0000 0.0000 0.0000 11.3131" Properties=species:S:1:pos:R:3 pbc="T T T"
Ni 0.0000 0.7189 0.0000
Ni 3.5622 5.4065 5.6566
P 0.0000 3.0816 4.1435
P 3.5622 3.0438 9.8001
H 0.0000 2.2460 6.2376
H 0.0000 4.1155 0.4292
H 0.0000 4.7843 1.9027
H 0.7859 0.3331 7.0625
H 0.8031 3.0132 9.9671
H 1.3191 5.4219 4.0993
H 1.3690 4.1821 6.4855
H 1.3873 1.7454 2.1865
H 1.7738 0.8105 4.2823
H 1.7884 5.3149 9.9389
H 2.1749 4.3800 7.8431
H 2.1932 1.9433 0.8289
H 2.2431 0.7035 9.7559
H 2.7591 3.1122 4.3106
H 2.7763 5.7923 1.4059
H 3.5622 1.3411 7.5593
H 3.5622 2.0099 6.0858
H 3.5622 3.8794 0.5810
H 4.3481 5.7923 1.4059
H 4.3653 3.1122 4.3106
H 4.8813 0.7035 9.7559
H 4.9312 1.9433 0.8289
H 4.9495 4.3800 7.8431
H 5.3360 5.3149 9.9389
H 5.3506 0.8105 4.2823
H 5.7371 1.7454 2.1865
H 5.7554 4.1821 6.4855
H 5.8053 5.4219 4.0993
H 6.3213 3.0132 9.9671
H 6.3384 0.3331 7.0625
O 0.0000 0.9138 6.9609
O 0.0000 2.7426 10.4991
O 0.0000 3.1799 5.7736
O 0.0000 4.5322 3.6492
O 0.0000 4.9720 0.9277
O 1.2846 2.3412 3.7322
O 1.4736 0.1257 10.0333
O 1.5521 1.3413 1.2776
O 2.0101 4.7841 6.9342
O 2.0886 5.9997 4.3767
O 2.2776 3.7842 9.3888
O 3.5622 1.1534 6.5842
O 3.5622 1.5932 9.3058
O 3.5622 2.9455 0.1171
O 3.5622 3.3828 4.8425
O 3.5622 5.2116 1.3043
O 4.8468 3.7842 9.3888
O 5.0358 5.9997 4.3767
O 5.1143 4.7841 6.9342
O 5.5723 1.3413 1.2776
O 5.6508 0.1257 10.0333
O 5.8397 2.3412 3.7322
```



Structure and calculated powder diffraction line list of Mg14NiSnO16 (a DFT-relaxed cell (GGA+U, the Materials Project); Cu Ka).

Most intense lines, 2θ from 5° to 70°, most intense first:
hkl 4 0 0, 2θ = 41.73°, d = 2.164 Å, I = 100
hkl 4 0 2, 2θ = 60.32°, d = 1.534 Å, I = 59
hkl 0 0 2, 2θ = 41.50°, d = 2.176 Å, I = 52
hkl 2 2 1, 2θ = 35.87°, d = 2.504 Å, I = 39
hkl 1 1 0, 2θ = 14.47°, d = 6.122 Å, I = 31
hkl 4 4 0, 2θ = 60.49°, d = 1.530 Å, I = 29
hkl 2 2 0, 2θ = 29.12°, d = 3.066 Å, I = 24
hkl 1 1 1, 2θ = 25.11°, d = 3.547 Å, I = 21
hkl 2 0 0, 2θ = 20.52°, d = 4.329 Å, I = 18
hkl 3 1 1, 2θ = 38.86°, d = 2.317 Å, I = 15

```
32
Lattice="8.6573 0.0000 0.0000 0.0000 8.6573 0.0000 0.0000 0.0000 4.3515" Properties=species:S:1:pos:R:3 pbc="T T T"
Mg 0.0000 2.1264 0.0000
Mg 0.0000 4.3287 2.1757
Mg 0.0000 6.5309 0.0000
Mg 2.0679 4.3287 0.0000
Mg 2.1049 2.1049 2.1757
Mg 2.1049 6.5525 2.1757
Mg 2.1264 0.0000 0.0000
Mg 4.3287 0.0000 2.1757
Mg 4.3287 2.0679 0.0000
Mg 4.3287 6.5894 0.0000
Mg 6.5309 0.0000 0.0000
Mg 6.5525 2.1049 2.1757
Mg 6.5525 6.5525 2.1757
Mg 6.5894 4.3287 0.0000
Ni 0.0000 0.0000 2.1757
Sn 4.3287 4.3287 2.1757
O 0.0000 0.0000 0.0000
O 0.0000 2.1810 2.1757
O 0.0000 4.3287 0.0000
O 0.0000 6.4763 2.1757
O 2.0119 4.3287 2.1757
O 2.1687 2.1687 0.0000
O 2.1687 6.4886 0.0000
O 2.1810 0.0000 2.1757
O 4.3287 0.0000 0.0000
O 4.3287 2.0119 2.1757
O 4.3287 4.3287 0.0000
O 4.3287 6.6454 2.1757
O 6.4763 0.0000 2.1757
O 6.4886 2.1687 0.0000
O 6.4886 6.4886 0.0000
O 6.6454 4.3287 2.1757
```



Structure and calculated powder diffraction line list of BaLa5TiCr5O18 (a DFT-relaxed cell (GGA+U, the Materials Project); Cu Ka).

Most intense lines, 2θ from 5° to 70°, most intense first:
hkl 2 1 0, 2θ = 32.19°, d = 2.781 Å, I = 100
hkl 1 0 8, 2θ = 31.88°, d = 2.807 Å, I = 97
hkl 2 2 8, 2θ = 45.94°, d = 1.976 Å, I = 61
hkl 1 1 4, 2θ = 22.50°, d = 3.951 Å, I = 35
hkl 3 0 0, 2θ = 57.02°, d = 1.615 Å, I = 33
hkl 2 0 4, 2θ = 39.38°, d = 2.288 Å, I = 28
hkl 3 3 0, 2θ = 57.59°, d = 1.601 Å, I = 18
hkl 2 -1 8, 2θ = 56.78°, d = 1.621 Å, I = 15
hkl 1 1 16, 2θ = 56.90°, d = 1.618 Å, I = 14
hkl 4 2 0, 2θ = 67.32°, d = 1.391 Å, I = 12

```
60
Lattice="5.5620 0.0000 0.0000 2.7270 4.8520 0.0000 0.2161 0.0972 27.4295" Properties=species:S:1:pos:R:3 pbc="T T T"
Ba 0.0000 0.0000 0.0000
Ba 2.9606 1.6934 22.7715
La 0.2081 0.0862 20.4557
La 2.7519 1.6042 2.3431
La 2.8866 1.6884 15.9877
La 2.8267 1.6512 9.1575
La 5.5344 3.2586 4.5751
La 5.6090 3.2748 11.4342
La 5.6809 3.3281 18.2997
La 5.7343 3.3124 25.0614
La 5.6023 0.0272 6.8761
La 5.6611 0.0530 13.7069
Ti 2.9138 4.9328 23.9626
Ti 5.5114 3.2552 1.1419
Cr 5.6449 0.0414 10.2804
Cr 2.7573 4.8559 3.4761
Cr 2.8010 1.6526 5.7458
Cr 2.9699 1.7134 26.2917
Cr 2.8644 1.6677 12.5590
Cr 2.9371 1.6757 19.3541
Cr 5.5908 3.2688 8.0038
Cr 5.6995 3.3119 21.6537
Cr 5.6462 3.2942 14.8335
Cr 5.6966 0.0824 17.0780
O 1.4795 2.3556 0.2876
O 1.6873 2.3652 14.0325
O 1.2735 1.2173 11.4038
O 1.4417 1.1297 25.1210
O 2.8379 3.5197 11.7525
O 2.9524 3.4130 25.2313
O 2.8605 3.1078 17.9382
O 2.7644 3.0134 4.2778
O 1.7217 0.5538 18.2066
O 1.6185 0.5039 4.6030
O 4.0470 4.2120 15.6321
O 4.0964 4.0923 2.1979
O 4.4392 4.0507 23.0693
O 4.4100 3.9672 9.4767
O 4.0001 2.8250 6.8519
O 4.1663 2.8361 20.4260
O 2.8449 0.2657 7.1974
O 2.9818 0.1417 20.6091
O 5.7414 4.7767 27.2468
O 4.2182 2.3231 0.0683
O 5.6187 4.6742 13.3608
O 4.4727 2.1292 13.6781
O 4.0497 0.9716 11.0841
O 4.3193 0.9321 25.0264
O 4.3972 0.7471 4.9026
O 4.5347 0.7923 18.5295
O 6.8305 4.4774 15.9452
O 6.7261 4.3077 2.3841
O 5.6742 1.9325 16.2979
O 5.5838 1.7954 2.5558
O 5.7416 1.5343 22.6275
O 5.6177 1.4187 8.8054
O 7.1547 4.0128 22.8684
O 7.2009 3.7294 9.1245
O 6.7685 2.5838 6.5303
O 6.9183 2.5214 20.2600
```